GaBi2O4F: computed X-ray diffraction stick pattern (Cu Ka), based on a DFT-relaxed cell (GGA-PBE, Alexandria).
Lines closer than 0.1° are merged.

Main lines, in order of rising 2θ (5° ≤ 2θ ≤ 70°):
- hkl 2 0 0, 4.618 Å, I = 53
- hkl 2 0 -2, 3.364 Å, I = 100
- hkl 2 0 1, 3.129 Å, I = 48
- hkl 1 1 -1, 3.002 Å, I = 64
- hkl 1 1 1, 2.665 Å, I = 72
- hkl 3 1 -1, 2.392 Å, I = 64
- hkl 1 1 -3, 1.878 Å, I = 42
- hkl 6 0 -3, 1.619 Å, I = 42

Structural model:
abc: 10.252 3.355 6.975
angles: 90.00 115.72 90.00
Space group C2/m (No. 12)
Unique sites:
Ga 0.000 0.000 0.000 (multiplicity 2)
Bi 0.196 0.000 0.717 (multiplicity 4)
O 0.116 0.500 0.953 (multiplicity 4)
O 0.157 0.000 0.293 (multiplicity 4)
F 0.000 0.500 0.500 (multiplicity 2)